# 1
This entry pairs a crystal structure of Sr4Ta3PO14 with its computed PXRD pattern. Radiation: λ = 1.5418 Å (Cu Kα). Structure: the GGA-PBE geometry in Alexandria.
Lines closer than 0.1° are merged.

Principal peaks in the range 10 to 80 degrees two-theta, in order of falling intensity:
hkl 3 1 1, 3.017 Å, I 100; hkl 8 0 0, 3.345 Å, I 83; hkl 3 1 -1, 3.121 Å, I 80; hkl 5 1 -1, 2.855 Å, I 79; hkl 5 1 1, 2.726 Å, I 68; hkl 0 0 2, 2.886 Å, I 56; hkl 1 1 0, 3.920 Å, I 54; hkl 0 2 0, 1.981 Å, I 52; hkl 6 0 -1, 3.698 Å, I 51; hkl 8 2 0, 1.703 Å, I 46; hkl 10 0 -2, 2.060 Å, I 35; hkl 4 0 1, 4.183 Å, I 34

Atomic structure:
Cell lengths 26.8721, 3.9629, 5.7961 Å; angles 90.00, 95.29, 90.00 degrees
Space group Cm (No. 8)
Inequivalent atoms, fractional coordinates:
Sr1 0.0000 0.0000 0.0000 (multiplicity 2)
Sr2 0.0857 0.5000 0.5489 (multiplicity 2)
Sr3 0.2441 0.5000 0.1010 (multiplicity 2)
Sr4 0.3694 0.5000 0.6537 (multiplicity 2)
Ta1 0.1370 0.0000 0.0658 (multiplicity 2)
Ta2 0.2464 0.0000 0.6141 (multiplicity 2)
Ta3 0.3542 0.0000 0.1598 (multiplicity 2)
P1 0.4678 0.0000 0.5043 (multiplicity 2)
O1 0.0001 0.5000 0.7408 (multiplicity 2)
O2 0.0875 0.0000 0.8182 (multiplicity 2)
O3 0.0922 0.0000 0.2961 (multiplicity 2)
O4 0.1481 0.5000 0.0776 (multiplicity 2)
O5 0.1968 0.0000 0.8431 (multiplicity 2)
O6 0.2046 0.0000 0.3315 (multiplicity 2)
O7 0.2532 0.5000 0.6407 (multiplicity 2)
O8 0.2959 0.0000 0.9413 (multiplicity 2)
O9 0.3097 0.0000 0.4555 (multiplicity 2)
O10 0.3493 0.5000 0.1920 (multiplicity 2)
O11 0.4010 0.0000 0.9453 (multiplicity 2)
O12 0.4088 0.0000 0.4506 (multiplicity 2)
O13 0.4607 0.5000 0.5432 (multiplicity 2)
O14 0.4990 0.0000 0.2935 (multiplicity 2)



# 2
This entry pairs a crystal structure of SrTbP2O8 with its computed PXRD pattern. Radiation: λ = 1.5418 Å (Cu Kα). Structure: the GGA-PBE geometry in Alexandria.
Lines closer than 0.1° are merged.

Principal peaks in the range 10 to 80 degrees two-theta, in order of falling intensity:
hkl 1 0 0, 4.679 Å, I 100; hkl 1 0 2, 2.901 Å, I 92; hkl 0 1 1, 3.954 Å, I 58; hkl 1 1 0, 2.701 Å, I 57; hkl 0 2 2, 1.977 Å, I 45; hkl 2 -1 2, 2.181 Å, I 45; hkl 2 1 2, 1.595 Å, I 28; hkl 1 0 4, 1.720 Å, I 23; hkl 1 1 4, 1.526 Å, I 20; hkl 1 2 0, 1.768 Å, I 18; hkl 1 2 4, 1.278 Å, I 14; hkl 4 -3 2, 1.225 Å, I 14

Atomic structure:
Cell lengths 5.4028, 5.4028, 7.3967 Å; angles 90.00, 90.00, 120.00 degrees
Space group P-3 (No. 147)
Inequivalent atoms, fractional coordinates:
Sr1 0.0000 0.0000 0.0000 (multiplicity 1)
Tb1 0.0000 0.0000 0.5000 (multiplicity 1)
P1 0.3333 0.6667 0.7752 (multiplicity 2)
O1 0.1758 0.3544 0.7065 (multiplicity 6)
O2 0.3333 0.6667 0.9844 (multiplicity 2)



# 3
This entry pairs a crystal structure of Sr2Zn3Te2P2O14 with its computed PXRD pattern. Radiation: λ = 1.5418 Å (Cu Kα). Structure: the GGA-PBE geometry in Alexandria.
Lines closer than 0.1° are merged.

Principal peaks in the range 10 to 80 degrees two-theta, in order of falling intensity:
hkl 1 2 2, 2.940 Å, I 100; hkl 1 0 4, 3.119 Å, I 85; hkl 1 2 -2, 2.950 Å, I 82; hkl 1 1 -3, 3.368 Å, I 61; hkl 1 1 3, 3.346 Å, I 51; hkl 1 0 -4, 3.145 Å, I 45; hkl 2 0 0, 2.640 Å, I 41; hkl 0 0 2, 7.783 Å, I 34; hkl 0 1 5, 2.901 Å, I 31; hkl 2 0 -6, 1.859 Å, I 31; hkl 0 0 4, 3.891 Å, I 29; hkl 1 2 4, 2.457 Å, I 25

Atomic structure:
Cell lengths 5.2810, 7.9743, 15.5656 Å; angles 90.00, 90.46, 90.00 degrees
Space group P2_1/c (No. 14)
Inequivalent atoms, fractional coordinates:
Sr1 0.0023 0.0541 0.2971 (multiplicity 4)
Zn1 0.4905 0.6078 0.6186 (multiplicity 4)
Zn2 0.5000 0.0000 0.5000 (multiplicity 2)
Te1 0.0130 0.7279 0.4936 (multiplicity 4)
P1 0.4492 0.7356 0.8079 (multiplicity 4)
O1 0.2067 0.6031 0.0551 (multiplicity 4)
O2 0.2091 0.5472 0.5414 (multiplicity 4)
O3 0.2492 0.2382 0.4235 (multiplicity 4)
O4 0.2639 0.2363 0.7080 (multiplicity 4)
O5 0.2966 0.6800 0.7248 (multiplicity 4)
O6 0.3385 0.5873 0.3283 (multiplicity 4)
O7 0.3725 0.6117 0.8801 (multiplicity 4)



# 4
This entry pairs a crystal structure of SrTi4P6O24 with its computed PXRD pattern. Radiation: λ = 1.5418 Å (Cu Kα). Structure: the GGA-PBE geometry in Alexandria.
Lines closer than 0.1° are merged.

Principal peaks in the range 10 to 80 degrees two-theta, in order of falling intensity:
hkl 2 -1 3, 3.702 Å, I 100; hkl 2 -1 6, 2.827 Å, I 66; hkl 1 1 0, 4.241 Å, I 44; hkl 1 0 1, 6.991 Å, I 28; hkl 2 2 6, 1.851 Å, I 21; hkl 3 0 0, 2.449 Å, I 17; hkl 0 2 4, 3.086 Å, I 17; hkl 2 1 1, 2.756 Å, I 17; hkl 1 4 0, 1.603 Å, I 15; hkl 0 0 3, 7.587 Å, I 14; hkl 1 2 8, 1.987 Å, I 12; hkl 1 0 4, 4.499 Å, I 10

Atomic structure:
Cell lengths 8.4824, 8.4824, 22.7611 Å; angles 90.00, 90.00, 120.00 degrees
Space group R-3 (No. 148, hexagonal axes)
Inequivalent atoms, fractional coordinates:
Sr1 0.0000 0.0000 0.0000 (multiplicity 3)
Ti1 0.0000 0.0000 0.1497 (multiplicity 6)
Ti2 0.0000 0.0000 0.3562 (multiplicity 6)
P1 0.0032 0.2854 0.7482 (multiplicity 18)
O1 0.0027 0.1822 0.0907 (multiplicity 18)
O2 0.0162 0.8214 0.1945 (multiplicity 18)
O3 0.0612 0.2130 0.4022 (multiplicity 18)
O4 0.0662 0.2144 0.6962 (multiplicity 18)